# 1
K2YF5: calculated powder X-ray diffraction pattern (CuKα), based on a GGA-PBE-relaxed structure.
Kinematic intensities with the Lorentz-polarization factor, no thermal factor.

Peak list (8 most intense, 2θ = 10–90°, in order of rising 2θ)
2theta	I_rel
15.47	92
26.57	50
27.73	98
28.87	100
29.24	61
39.91	61
49.67	51
50.22	47

Crystal structure
abc: 10.999 7.347 6.710
angles: 90.00 90.00 90.00
Sites, in units of the cell vectors:
K 0.171 0.003 0.032
K 0.171 0.497 0.032
K 0.329 0.503 0.532
K 0.329 0.997 0.532
K 0.671 0.003 0.468
K 0.671 0.497 0.468
K 0.829 0.503 0.968
K 0.829 0.997 0.968
Y 0.003 0.250 0.564
Y 0.497 0.750 0.064
Y 0.503 0.250 0.936
Y 0.997 0.750 0.436
F 0.013 0.250 0.893
F 0.075 0.535 0.647
F 0.075 0.965 0.647
F 0.167 0.250 0.373
F 0.191 0.750 0.340
F 0.309 0.250 0.840
F 0.333 0.750 0.873
F 0.425 0.035 0.147
F 0.425 0.465 0.147
F 0.487 0.750 0.393
F 0.513 0.250 0.607
F 0.575 0.535 0.853
F 0.575 0.965 0.853
F 0.667 0.250 0.127
F 0.691 0.750 0.160
F 0.809 0.250 0.660
F 0.833 0.750 0.627
F 0.925 0.035 0.353
F 0.925 0.465 0.353
F 0.987 0.750 0.107

# 2
ZrCrAgS4: calculated powder X-ray diffraction pattern (CuKα), based on a GGA-PBE-relaxed structure.
Kinematic intensities with the Lorentz-polarization factor, no thermal factor.

Peak list (8 most intense, 2θ = 10–90°, in order of rising 2θ)
2theta	I_rel
21.27	100
26.55	35
26.84	33
28.00	34
28.22	32
28.45	35
32.92	53
47.05	50

Crystal structure
abc: 6.667 7.811 12.711
angles: 82.06 84.70 89.94
Sites, in units of the cell vectors:
Zr 0.000 0.000 0.000
Zr 0.090 0.174 0.308
Zr 0.382 0.597 0.701
Zr 0.602 0.457 0.298
Cr 0.479 0.777 0.000
Cr 0.613 0.937 0.293
Cr 0.870 0.844 0.707
Cr 0.875 0.336 0.707
Ag 0.110 0.696 0.299
Ag 0.352 0.092 0.699
Ag 0.500 0.264 0.995
Ag 0.981 0.526 0.997
S 0.002 0.105 0.642
S 0.027 0.603 0.650
S 0.095 0.229 0.118
S 0.158 0.747 0.100
S 0.341 0.022 0.901
S 0.359 0.566 0.891
S 0.441 0.168 0.363
S 0.443 0.689 0.379
S 0.572 0.356 0.638
S 0.574 0.859 0.632
S 0.613 0.515 0.107
S 0.632 0.957 0.112
S 0.805 0.812 0.887
S 0.864 0.284 0.881
S 0.897 0.920 0.384
S 0.924 0.419 0.378

# 3
Sm3Mg2VS8: calculated powder X-ray diffraction pattern (CuKα), based on a GGA-PBE-relaxed structure.
Kinematic intensities with the Lorentz-polarization factor, no thermal factor.

Peak list (8 most intense, 2θ = 10–90°, in order of rising 2θ)
2theta	I_rel
13.74	58
14.03	52
26.43	66
26.58	33
32.25	100
35.32	26
45.85	47
46.64	43

Crystal structure
abc: 7.789 7.789 7.797
angles: 118.99 118.99 61.15
Sites, in units of the cell vectors:
Sm 0.000 0.000 0.000
Sm 0.000 0.500 0.500
Sm 0.500 0.000 0.500
Mg 0.376 0.376 0.126
Mg 0.624 0.624 0.874
V 0.000 0.000 0.500
S 0.227 0.227 0.731
S 0.229 0.767 0.270
S 0.233 0.771 0.730
S 0.248 0.248 0.254
S 0.752 0.752 0.746
S 0.767 0.229 0.270
S 0.771 0.233 0.730
S 0.773 0.773 0.269

What did the first record say?
K2YF5: calculated powder X-ray diffraction pattern (CuKα), based on a GGA-PBE-relaxed structure.
Kinematic intensities with the Lorentz-polarization factor, no thermal factor.

Peak list (8 most intense, 2θ = 10–90°, in order of rising 2θ)
2theta	I_rel
15.47	92
26.57	50
27.73	98
28.87	100
29.24	61
39.91	61
49.67	51
50.22	47

Crystal structure
abc: 10.999 7.347 6.710
angles: 90.00 90.00 90.00
Sites, in units of the cell vectors:
K 0.171 0.003 0.032
K 0.171 0.497 0.032
K 0.329 0.503 0.532
K 0.329 0.997 0.532
K 0.671 0.003 0.468
K 0.671 0.497 0.468
K 0.829 0.503 0.968
K 0.829 0.997 0.968
Y 0.003 0.250 0.564
Y 0.497 0.750 0.064
Y 0.503 0.250 0.936
Y 0.997 0.750 0.436
F 0.013 0.250 0.893
F 0.075 0.535 0.647
F 0.075 0.965 0.647
F 0.167 0.250 0.373
F 0.191 0.750 0.340
F 0.309 0.250 0.840
F 0.333 0.750 0.873
F 0.425 0.035 0.147
F 0.425 0.465 0.147
F 0.487 0.750 0.393
F 0.513 0.250 0.607
F 0.575 0.535 0.853
F 0.575 0.965 0.853
F 0.667 0.250 0.127
F 0.691 0.750 0.160
F 0.809 0.250 0.660
F 0.833 0.750 0.627
F 0.925 0.035 0.353
F 0.925 0.465 0.353
F 0.987 0.750 0.107

Repeat the first record exactly.
K2YF5: calculated powder X-ray diffraction pattern (CuKα), based on a GGA-PBE-relaxed structure.
Kinematic intensities with the Lorentz-polarization factor, no thermal factor.

Peak list (8 most intense, 2θ = 10–90°, in order of rising 2θ)
2theta	I_rel
15.47	92
26.57	50
27.73	98
28.87	100
29.24	61
39.91	61
49.67	51
50.22	47

Crystal structure
abc: 10.999 7.347 6.710
angles: 90.00 90.00 90.00
Sites, in units of the cell vectors:
K 0.171 0.003 0.032
K 0.171 0.497 0.032
K 0.329 0.503 0.532
K 0.329 0.997 0.532
K 0.671 0.003 0.468
K 0.671 0.497 0.468
K 0.829 0.503 0.968
K 0.829 0.997 0.968
Y 0.003 0.250 0.564
Y 0.497 0.750 0.064
Y 0.503 0.250 0.936
Y 0.997 0.750 0.436
F 0.013 0.250 0.893
F 0.075 0.535 0.647
F 0.075 0.965 0.647
F 0.167 0.250 0.373
F 0.191 0.750 0.340
F 0.309 0.250 0.840
F 0.333 0.750 0.873
F 0.425 0.035 0.147
F 0.425 0.465 0.147
F 0.487 0.750 0.393
F 0.513 0.250 0.607
F 0.575 0.535 0.853
F 0.575 0.965 0.853
F 0.667 0.250 0.127
F 0.691 0.750 0.160
F 0.809 0.250 0.660
F 0.833 0.750 0.627
F 0.925 0.035 0.353
F 0.925 0.465 0.353
F 0.987 0.750 0.107